Entry 1:
Er6Ni20P13: simulated XRD peak list (a wavelength of 1.5418 Å), based on a cell relaxed with PBE.

Most intense lines, 2θ = 10–90°, in order of rising 2θ:
d = 3.033 Å, 2θ 29.4, intensity 12, (3 1 0)
d = 2.411 Å, 2θ 37.3, intensity 20, (2 2 1)
d = 2.387 Å, 2θ 37.7, intensity 12, (1 4 0)
d = 2.354 Å, 2θ 38.2, intensity 100, (3 1 1)
d = 2.067 Å, 2θ 43.8, intensity 10, (2 4 0)
d = 1.964 Å, 2θ 46.2, intensity 10, (1 5 0)
d = 1.866 Å, 2θ 48.8, intensity 20, (0 0 2)
d = 1.751 Å, 2θ 52.2, intensity 20, (2 5 0)
d = 1.585 Å, 2θ 58.2, intensity 12, (5 2 1)
d = 1.277 Å, 2θ 74.3, intensity 14, (2 5 2)

Structural model:
```
data_Er6Ni20P13
_symmetry_space_group_name_H-M 'P -6'
_symmetry_Int_Tables_number 174
_cell_length_a 12.6288
_cell_length_b 12.6288
_cell_length_c 3.7329
_cell_angle_alpha 90.00
_cell_angle_beta 90.00
_cell_angle_gamma 120.00
loop_
_symmetry_equiv_pos_as_xyz
'x,y,z'
'-x+y,-x,-z'
'-y,x-y,z'
'x,y,-z'
'-x+y,-x,z'
'-y,x-y,-z'
loop_
_atom_site_label
_atom_site_type_symbol
_atom_site_fract_x
_atom_site_fract_y
_atom_site_fract_z
Er1 Er 0.0514 0.1963 0.0000
Er2 Er 0.5223 0.3847 0.5000
Ni1 Ni 0.0000 0.0000 0.5000
Ni2 Ni 0.0155 0.4191 0.0000
Ni3 Ni 0.0910 0.7451 0.5000
Ni4 Ni 0.1369 0.5747 0.5000
Ni5 Ni 0.2553 0.5157 0.0000
Ni6 Ni 0.3123 0.2323 0.0000
Ni7 Ni 0.3540 0.1047 0.5000
Ni8 Ni 0.6667 0.3333 0.0000
P1 P 0.0531 0.6186 0.0000
P2 P 0.0986 0.3826 0.5000
P3 P 0.1948 0.1429 0.5000
P4 P 0.3333 0.6667 0.5000
P5 P 0.4712 0.1914 0.0000
```

=====

Entry 2:
Na3Hf3MnSe8: simulated XRD peak list (a wavelength of 1.5418 Å), based on a cell relaxed with PBE.

Most intense lines, 2θ = 10–90°, in order of rising 2θ:
d = 7.124 Å, 2θ 12.4, intensity 77, (0 0 3)
d = 3.286 Å, 2θ 27.1, intensity 20, (0 2 1)
d = 2.823 Å, 2θ 31.7, intensity 100, (0 2 4)
d = 2.249 Å, 2θ 40.1, intensity 21, (0 2 7)
d = 2.083 Å, 2θ 43.4, intensity 37, (2 0 8)
d = 1.920 Å, 2θ 47.3, intensity 33, (2 2 0)
d = 1.854 Å, 2θ 49.1, intensity 15, (2 2 3)
d = 1.588 Å, 2θ 58.1, intensity 17, (4 0 4)
d = 1.306 Å, 2θ 72.4, intensity 13, (2 2 12)
d = 1.224 Å, 2θ 78.1, intensity 14, (2 4 4)

Structural model:
```
data_Na3Hf3MnSe8
_symmetry_space_group_name_H-M 'R -3 m'
_symmetry_Int_Tables_number 166
_symmetry_space_group_name_Hall '-R 3 2"'
_cell_length_a 7.6800
_cell_length_b 7.6800
_cell_length_c 21.3722
_cell_angle_alpha 90.00
_cell_angle_beta 90.00
_cell_angle_gamma 120.00
loop_
_atom_site_label
_atom_site_type_symbol
_atom_site_fract_x
_atom_site_fract_y
_atom_site_fract_z
Na1 Na 0.0000 0.5000 0.0000
Hf1 Hf 0.0000 0.5000 0.5000
Mn1 Mn 0.0000 0.0000 0.5000
Se1 Se 0.0000 0.0000 0.2406
Se2 Se 0.0049 0.5024 0.7615
```

=====

Entry 3:
Sc3Zn7Pd: simulated XRD peak list (a wavelength of 1.5418 Å), based on a cell relaxed with PBE.

Most intense lines, 2θ = 10–90°, in order of rising 2θ:
d = 7.781 Å, 2θ 11.4, intensity 41, (0 2 1)
d = 5.376 Å, 2θ 16.5, intensity 41, (0 2 2)
d = 2.579 Å, 2θ 34.8, intensity 48, (1 3 2)
d = 2.504 Å, 2θ 35.9, intensity 100, (1 1 3)
d = 2.441 Å, 2θ 36.8, intensity 53, (0 8 0)
d = 2.397 Å, 2θ 37.5, intensity 48, (1 5 1)
d = 2.281 Å, 2θ 39.5, intensity 69, (1 5 2)
d = 2.227 Å, 2θ 40.5, intensity 39, (1 1 4)
d = 2.121 Å, 2θ 42.6, intensity 57, (0 8 3)
d = 1.965 Å, 2θ 46.2, intensity 40, (0 4 6)

Structural model:
```
data_Sc3Zn7Pd
_symmetry_space_group_name_H-M 'C m c m'
_symmetry_Int_Tables_number 63
_symmetry_space_group_name_Hall '-C 2c 2'
_cell_length_a 3.122
_cell_length_b 19.528
_cell_length_c 12.881
_cell_angle_alpha 90.00
_cell_angle_beta 90.00
_cell_angle_gamma 90.00
loop_
_atom_site_label
_atom_site_type_symbol
_atom_site_fract_x
_atom_site_fract_y
_atom_site_fract_z
Sc1 Sc 0.000 0.118 0.052
Sc2 Sc 0.000 0.263 0.750
Zn1 Zn 0.000 0.265 0.071
Zn2 Zn 0.000 0.375 0.153
Zn3 Zn 0.000 0.413 0.750
Zn4 Zn 0.000 0.496 0.093
Pd1 Pd 0.000 0.033 0.750
```

=====

Entry 4:
LiFe2: simulated XRD peak list (a wavelength of 1.5418 Å), based on a cell relaxed with PBE.

Most intense lines, 2θ = 10–90°, in order of rising 2θ:
d = 3.528 Å, 2θ 25.2, intensity 23, (1 0 0)
d = 2.857 Å, 2θ 31.3, intensity 77, (1 0 1)
d = 2.037 Å, 2θ 44.5, intensity 97, (1 1 0)
d = 2.003 Å, 2θ 45.3, intensity 100, (1 0 2)
d = 1.658 Å, 2θ 55.4, intensity 14, (2 0 1)
d = 1.474 Å, 2θ 63.1, intensity 9, (1 0 3)
d = 1.428 Å, 2θ 65.3, intensity 30, (2 0 2)
d = 1.286 Å, 2θ 73.7, intensity 11, (2 1 1)
d = 1.176 Å, 2θ 81.9, intensity 14, (3 0 0)
d = 1.169 Å, 2θ 82.5, intensity 30, (2 1 2)

Structural model:
```
data_LiFe2
_symmetry_space_group_name_H-M 'P 63/m m c'
_symmetry_Int_Tables_number 194
_symmetry_space_group_name_Hall '-P 6c 2c'
_cell_length_a 4.0737
_cell_length_b 4.0737
_cell_length_c 4.8676
_cell_angle_alpha 90.00
_cell_angle_beta 90.00
_cell_angle_gamma 120.00
loop_
_atom_site_label
_atom_site_type_symbol
_atom_site_fract_x
_atom_site_fract_y
_atom_site_fract_z
Li1 Li 0.3333 0.6667 0.2500
Fe1 Fe 0.0000 0.0000 0.0000
Fe2 Fe 0.3333 0.6667 0.7500
```

=====

Entry 5:
K2CdPO4: simulated XRD peak list (a wavelength of 1.5418 Å), based on a cell relaxed with PBE.

Most intense lines, 2θ = 10–90°, in order of rising 2θ:
d = 4.742 Å, 2θ 18.7, intensity 43, (1 0 1)
d = 3.120 Å, 2θ 28.6, intensity 55, (2 0 0)
d = 2.811 Å, 2θ 31.8, intensity 100, (1 1 2)
d = 2.606 Å, 2θ 34.4, intensity 19, (2 1 1)
d = 2.206 Å, 2θ 40.9, intensity 24, (2 2 0)
d = 1.735 Å, 2θ 52.7, intensity 42, (1 3 2)
d = 1.574 Å, 2θ 58.6, intensity 17, (2 0 4)
d = 1.406 Å, 2θ 66.5, intensity 10, (2 2 4)
d = 1.395 Å, 2θ 67.1, intensity 11, (2 4 0)
d = 1.160 Å, 2θ 83.3, intensity 11, (1 5 2)

Structural model:
```
data_K2CdPO4
_symmetry_space_group_name_H-M 'I -4'
_symmetry_Int_Tables_number 82
_cell_length_a 6.240
_cell_length_b 6.240
_cell_length_c 7.295
_cell_angle_alpha 90.00
_cell_angle_beta 90.00
_cell_angle_gamma 90.00
loop_
_symmetry_equiv_pos_as_xyz
'x,y,z'
'y,-x,-z'
'-x,-y,z'
'-y,x,-z'
'x+1/2,y+1/2,z+1/2'
'y+1/2,-x+1/2,-z+1/2'
'-x+1/2,-y+1/2,z+1/2'
'-y+1/2,x+1/2,-z+1/2'
loop_
_atom_site_label
_atom_site_type_symbol
_atom_site_fract_x
_atom_site_fract_y
_atom_site_fract_z
K1 K 0.000 0.000 0.000
K2 K 0.000 0.500 0.250
Cd1 Cd 0.000 0.500 0.750
P1 P 0.000 0.000 0.500
O1 O 0.133 0.159 0.623
```